SnO2: calculated X-ray diffraction stick pattern (Cu Kα X-rays), based on the GGA-PBE geometry in Alexandria.
Peak positions follow from Bragg's law for the DFT cell and can differ from measured ones.

Structure:
```
data_SnO2
_chemical_formula_sum 'Sn4 O8'
_cell_length_a 4.7921
_cell_length_b 5.8288
_cell_length_c 5.3122
_cell_angle_alpha 90.00
_cell_angle_beta 90.00
_cell_angle_gamma 90.00
_symmetry_space_group_name_H-M 'P 1'
_symmetry_Int_Tables_number 1
_symmetry_space_group_name_Hall 'P 1'
loop_
_atom_site_label
_atom_site_type_symbol
_atom_site_fract_x
_atom_site_fract_y
_atom_site_fract_z
_atom_site_occupancy
Sn1 Sn 0.0000 0.1651 0.2500 1
Sn2 Sn 0.0000 0.8349 0.7500 1
Sn3 Sn 0.5000 0.3349 0.7500 1
Sn4 Sn 0.5000 0.6651 0.2500 1
O1 O 0.2302 0.1070 0.5783 1
O2 O 0.2302 0.8930 0.0783 1
O3 O 0.2698 0.3930 0.0783 1
O4 O 0.2698 0.6070 0.5783 1
O5 O 0.7302 0.3930 0.4217 1
O6 O 0.7302 0.6070 0.9217 1
O7 O 0.7698 0.1070 0.9217 1
O8 O 0.7698 0.8930 0.4217 1
```

Largest 10 diffraction maxima, low angle first, 2θ = 10–90°:
d [Å]	I_rel
3.702	33
3.037	100
2.656	17
2.555	25
2.158	13
1.801	16
1.779	19
1.748	27
1.597	17
1.490	17